1.
For CdCu2Au6, the GGA-PBE geometry in Alexandria gives the computed PXRD pattern in this record (copper Kα).
Lines closer than 0.1° are merged.

Principal peaks in the range 2θ from 10° to 90°, in order of falling intensity:
38.1°, intensity 100, hkl 3 0 1
44.9°, intensity 31, hkl 3 3 0
78.2°, intensity 24, hkl 6 3 1
63.9°, intensity 22, hkl 3 3 2
43.0°, intensity 18, hkl 0 0 2
75.5°, intensity 14, hkl 3 0 3
81.5°, intensity 11, hkl 6 0 2
65.4°, intensity 10, hkl 6 0 0

```
data_CdCu2Au6
_cell_length_a 8.567
_cell_length_b 8.567
_cell_length_c 4.206
_cell_angle_alpha 90.00
_cell_angle_beta 90.00
_cell_angle_gamma 90.00
_space_group_name_H-M_alt 'P 42/m n m'
_space_group_IT_number 136
_space_group_name_Hall '-P 4n 2n'
loop_
_atom_site_label
_atom_site_fract_x
_atom_site_fract_y
_atom_site_fract_z
_atom_site_occupancy
Cd1 0.000 0.000 0.000 1
Cu1 0.175 0.175 0.500 1
Au1 0.001 0.330 0.000 1
Au2 0.162 0.838 0.500 1
```

***

2.
For Re2BiC, the GGA-PBE geometry in Alexandria gives the computed PXRD pattern in this record (copper Kα).
Lines closer than 0.1° are merged.

Principal peaks in the range 2θ from 10° to 90°, in order of falling intensity:
28.0°, intensity 100, hkl 1 0 3
41.8°, intensity 94, hkl 2 1 1
29.4°, intensity 93, hkl 1 1 2
40.3°, intensity 39, hkl 1 0 5
47.0°, intensity 32, hkl 2 0 4
39.4°, intensity 31, hkl 2 0 2
67.4°, intensity 24, hkl 2 1 7
50.9°, intensity 21, hkl 1 1 6

```
data_Re2BiC
_cell_length_a 4.906
_cell_length_b 4.906
_cell_length_c 12.563
_cell_angle_alpha 90.00
_cell_angle_beta 90.00
_cell_angle_gamma 90.00
_space_group_name_H-M_alt 'I -4 2 d'
_space_group_IT_number 122
_space_group_name_Hall 'I -4 2bw'
loop_
_atom_site_label
_atom_site_fract_x
_atom_site_fract_y
_atom_site_fract_z
_atom_site_occupancy
Re1 0.094 0.250 0.125 1
Bi1 0.000 0.000 0.500 1
C1 0.000 0.000 0.000 1
```

***

3.
For SmDy3Er2, the GGA-PBE geometry in Alexandria gives the computed PXRD pattern in this record (copper Kα).
Lines closer than 0.1° are merged.

Principal peaks in the range 2θ from 10° to 90°, in order of falling intensity:
32.1°, intensity 100, hkl 0 2 -1
33.8°, intensity 90, hkl 0 2 2
31.4°, intensity 51, hkl 0 0 3
61.3°, intensity 46, hkl 4 2 4
51.1°, intensity 39, hkl 4 2 1
29.1°, intensity 36, hkl 2 2 1
55.2°, intensity 21, hkl 0 2 -4
58.6°, intensity 19, hkl 0 2 5

```
data_SmDy3Er2
_cell_length_a 7.139
_cell_length_b 7.145
_cell_length_c 8.795
_cell_angle_alpha 78.26
_cell_angle_beta 78.26
_cell_angle_gamma 60.06
_space_group_name_H-M_alt 'P -1'
_space_group_IT_number 2
_space_group_name_Hall '-P 1'
loop_
_atom_site_label
_atom_site_fract_x
_atom_site_fract_y
_atom_site_fract_z
_atom_site_occupancy
Sm1 0.250 0.250 0.001 1
Dy1 0.139 0.139 0.665 1
Dy2 0.250 0.750 0.999 1
Dy3 0.361 0.861 0.336 1
Er1 0.140 0.638 0.664 1
Er2 0.360 0.362 0.335 1
```

***

4.
For Fe3Rh13, the GGA-PBE geometry in Alexandria gives the computed PXRD pattern in this record (copper Kα).
Lines closer than 0.1° are merged.

Principal peaks in the range 2θ from 10° to 90°, in order of falling intensity:
41.0°, intensity 100, hkl 2 2 2
47.4°, intensity 16, hkl 0 0 4
47.7°, intensity 16, hkl 4 0 0
48.0°, intensity 16, hkl 0 4 0
83.7°, intensity 12, hkl 2 2 6
84.2°, intensity 12, hkl 6 2 2
84.6°, intensity 12, hkl 2 6 2
88.9°, intensity 10, hkl 4 4 4

```
data_Fe3Rh13
_cell_length_a 7.628
_cell_length_b 7.583
_cell_length_c 7.674
_cell_angle_alpha 90.00
_cell_angle_beta 90.00
_cell_angle_gamma 90.00
_space_group_name_H-M_alt 'A m m 2'
_space_group_IT_number 38
_space_group_name_Hall 'A 2 -2'
loop_
_atom_site_label
_atom_site_fract_x
_atom_site_fract_y
_atom_site_fract_z
_atom_site_occupancy
Fe1 0.000 0.000 0.000 1
Fe2 0.253 0.000 0.257 1
Rh1 0.000 0.000 0.504 1
Rh2 0.000 0.242 0.252 1
Rh3 0.247 0.000 0.757 1
Rh4 0.248 0.247 0.006 1
Rh5 0.500 0.000 0.006 1
Rh6 0.500 0.000 0.501 1
Rh7 0.500 0.249 0.255 1
```

***

5.
For Li3BS3, the GGA-PBE geometry in Alexandria gives the computed PXRD pattern in this record (copper Kα).
Lines closer than 0.1° are merged.

Principal peaks in the range 2θ from 10° to 90°, in order of falling intensity:
30.1°, intensity 100, hkl 0 3 1
23.4°, intensity 93, hkl 2 1 0
27.5°, intensity 60, hkl 2 1 1
28.8°, intensity 39, hkl 0 0 2
20.0°, intensity 39, hkl 1 1 1
26.1°, intensity 33, hkl 2 0 1
46.7°, intensity 28, hkl 4 0 1
44.5°, intensity 24, hkl 2 4 1

```
data_Li3BS3
_cell_length_a 8.189
_cell_length_b 10.152
_cell_length_c 6.202
_cell_angle_alpha 90.00
_cell_angle_beta 90.00
_cell_angle_gamma 90.00
_space_group_name_H-M_alt 'P n m a'
_space_group_IT_number 62
_space_group_name_Hall '-P 2ac 2n'
loop_
_atom_site_label
_atom_site_fract_x
_atom_site_fract_y
_atom_site_fract_z
_atom_site_occupancy
Li1 0.005 0.250 0.047 1
Li2 0.169 0.509 0.606 1
B1 0.120 0.750 0.383 1
S1 0.080 0.594 0.243 1
S2 0.203 0.750 0.658 1
```

***

6.
For Tb3ScCu2, the GGA-PBE geometry in Alexandria gives the computed PXRD pattern in this record (copper Kα).
Lines closer than 0.1° are merged.

Principal peaks in the range 2θ from 10° to 90°, in order of falling intensity:
30.6°, intensity 100, hkl 1 2 1
35.9°, intensity 90, hkl 1 3 0
34.3°, intensity 80, hkl 1 1 2
36.8°, intensity 74, hkl 2 0 0
32.7°, intensity 65, hkl 1 0 2
41.4°, intensity 40, hkl 0 3 2
56.5°, intensity 32, hkl 2 3 2
24.8°, intensity 25, hkl 1 1 1

```
data_Tb3ScCu2
_cell_length_a 4.889
_cell_length_b 8.728
_cell_length_c 6.609
_cell_angle_alpha 90.00
_cell_angle_beta 90.00
_cell_angle_gamma 90.00
_space_group_name_H-M_alt 'P m c 21'
_space_group_IT_number 26
_space_group_name_Hall 'P 2c -2'
loop_
_atom_site_label
_atom_site_fract_x
_atom_site_fract_y
_atom_site_fract_z
_atom_site_occupancy
Tb1 0.000 0.070 0.000 1
Tb2 0.000 0.345 0.353 1
Tb3 0.500 0.173 0.656 1
Sc1 0.500 0.430 0.017 1
Cu1 0.000 0.345 0.779 1
Cu2 0.500 0.158 0.234 1
```

***

7.
For Tl3Cl4, the GGA-PBE geometry in Alexandria gives the computed PXRD pattern in this record (copper Kα).
Lines closer than 0.1° are merged.

Principal peaks in the range 2θ from 10° to 90°, in order of falling intensity:
23.1°, intensity 100, hkl 3 1 1
40.0°, intensity 57, hkl 4 4 0
36.6°, intensity 41, hkl 3 3 3
55.3°, intensity 29, hkl 7 3 1
19.7°, intensity 25, hkl 2 2 0
72.6°, intensity 20, hkl 8 4 4
28.0°, intensity 16, hkl 4 0 0
46.7°, intensity 16, hkl 5 3 3

abc: 12.761 12.761 12.761
angles: 90.00 90.00 90.00
Space group Fd-3m (No. 227, origin choice 2)
Symmetry-distinct sites (fractional):
Tl1 0.000 0.000 0.000 x16
Tl2 0.125 0.125 0.625 x8
Cl1 0.000 0.000 0.250 x32

***

8.
For Dy4Ni2Hg, the GGA-PBE geometry in Alexandria gives the computed PXRD pattern in this record (copper Kα).
Lines closer than 0.1° are merged.

Principal peaks in the range 2θ from 10° to 90°, in order of falling intensity:
33.3°, intensity 100, hkl 1 5 -1
36.5°, intensity 86, hkl 2 4 0
32.9°, intensity 76, hkl 1 3 -2
33.6°, intensity 68, hkl 3 1 -1
33.8°, intensity 59, hkl 3 1 -2
32.7°, intensity 54, hkl 1 3 1
42.0°, intensity 40, hkl 2 2 -3
27.7°, intensity 38, hkl 1 1 1

```
data_Dy4Ni2Hg
_cell_length_a 8.380
_cell_length_b 14.739
_cell_length_c 6.771
_cell_angle_alpha 90.00
_cell_angle_beta 127.73
_cell_angle_gamma 90.00
_space_group_name_H-M_alt 'C 1 c 1'
_space_group_IT_number 9
_space_group_name_Hall 'C -2yc'
loop_
_atom_site_label
_atom_site_fract_x
_atom_site_fract_y
_atom_site_fract_z
_atom_site_occupancy
Dy1 0.000 0.030 0.000 1
Dy2 0.024 0.461 0.865 1
Dy3 0.072 0.256 0.162 1
Dy4 0.255 0.176 0.829 1
Ni1 0.267 0.090 0.471 1
Ni2 0.363 0.333 0.151 1
Hg1 0.256 0.367 0.673 1
```

***

9.
For Hg3I, the GGA-PBE geometry in Alexandria gives the computed PXRD pattern in this record (copper Kα).
Lines closer than 0.1° are merged.

Principal peaks in the range 2θ from 10° to 90°, in order of falling intensity:
28.7°, intensity 100, hkl -1 2 1
26.1°, intensity 48, hkl 1 0 1
40.4°, intensity 20, hkl 0 3 -1
36.3°, intensity 18, hkl 2 -2 0
35.7°, intensity 18, hkl 1 -1 2
41.7°, intensity 18, hkl -2 1 3
39.3°, intensity 17, hkl 0 1 -3
39.1°, intensity 16, hkl 2 1 -1

```
data_Hg3I
_cell_length_a 5.810
_cell_length_b 7.085
_cell_length_c 7.505
_cell_angle_alpha 93.73
_cell_angle_beta 112.19
_cell_angle_gamma 107.95
_space_group_name_H-M_alt 'P -1'
_space_group_IT_number 2
_space_group_name_Hall '-P 1'
loop_
_atom_site_label
_atom_site_fract_x
_atom_site_fract_y
_atom_site_fract_z
_atom_site_occupancy
Hg1 0.009 0.208 0.077 1
Hg2 0.115 0.437 0.767 1
Hg3 0.456 0.681 0.580 1
I1 0.371 0.084 0.726 1
```

***

10.
For Cs2DyAs2O6, the GGA-PBE geometry in Alexandria gives the computed PXRD pattern in this record (copper Kα).
Lines closer than 0.1° are merged.

Principal peaks in the range 2θ from 10° to 90°, in order of falling intensity:
29.3°, intensity 100, hkl 0 2 0
27.8°, intensity 57, hkl 1 1 -2
24.0°, intensity 33, hkl 1 1 1
27.1°, intensity 28, hkl 2 0 1
40.3°, intensity 19, hkl 2 2 1
38.6°, intensity 18, hkl 2 2 -2
24.7°, intensity 14, hkl 2 0 -2
49.3°, intensity 14, hkl 3 1 2

```
data_Cs2DyAs2O6
_cell_length_a 10.568
_cell_length_b 6.115
_cell_length_c 7.568
_cell_angle_alpha 90.00
_cell_angle_beta 115.75
_cell_angle_gamma 90.00
_space_group_name_H-M_alt 'C 1 2/m 1'
_space_group_IT_number 12
_space_group_name_Hall '-C 2y'
loop_
_atom_site_label
_atom_site_fract_x
_atom_site_fract_y
_atom_site_fract_z
_atom_site_occupancy
Cs1 0.223 0.000 0.184 1
Dy1 0.000 0.000 0.500 1
As1 0.076 0.500 0.226 1
O1 0.008 0.268 0.294 1
O2 0.239 0.000 0.637 1
```

***

11.
For Mg2Tl4In, the GGA-PBE geometry in Alexandria gives the computed PXRD pattern in this record (copper Kα).
Lines closer than 0.1° are merged.

Principal peaks in the range 2θ from 10° to 90°, in order of falling intensity:
31.8°, intensity 100, hkl 1 1 5
29.6°, intensity 97, hkl 1 2 2
32.6°, intensity 88, hkl 2 1 1
34.1°, intensity 84, hkl 1 0 6
31.1°, intensity 76, hkl 0 2 4
32.2°, intensity 51, hkl 2 1 0
23.9°, intensity 45, hkl 0 2 1
10.0°, intensity 45, hkl 0 0 2

```
data_Mg2Tl4In
_cell_length_a 5.966
_cell_length_b 7.612
_cell_length_c 17.604
_cell_angle_alpha 90.00
_cell_angle_beta 90.00
_cell_angle_gamma 90.00
_space_group_name_H-M_alt 'P b c a'
_space_group_IT_number 61
_space_group_name_Hall '-P 2ac 2ab'
loop_
_atom_site_label
_atom_site_fract_x
_atom_site_fract_y
_atom_site_fract_z
_atom_site_occupancy
Mg1 0.081 0.146 0.064 1
Tl1 0.146 0.194 0.876 1
Tl2 0.149 0.030 0.701 1
In1 0.000 0.000 0.500 1
```

***

12.
For Ag2Pd2F7, the GGA-PBE geometry in Alexandria gives the computed PXRD pattern in this record (copper Kα).
Lines closer than 0.1° are merged.

Principal peaks in the range 2θ from 10° to 90°, in order of falling intensity:
25.4°, intensity 100, hkl 0 2 1
34.2°, intensity 26, hkl 2 2 0
28.2°, intensity 25, hkl 2 0 -1
28.6°, intensity 23, hkl 0 0 2
16.9°, intensity 21, hkl 1 1 0
42.0°, intensity 20, hkl 2 2 -2
48.8°, intensity 17, hkl 0 2 3
32.6°, intensity 17, hkl 2 0 1

```
data_Ag2Pd2F7
_cell_length_a 6.758
_cell_length_b 8.493
_cell_length_c 6.326
_cell_angle_alpha 90.00
_cell_angle_beta 99.74
_cell_angle_gamma 90.00
_space_group_name_H-M_alt 'C 1 2/m 1'
_space_group_IT_number 12
_space_group_name_Hall '-C 2y'
loop_
_atom_site_label
_atom_site_fract_x
_atom_site_fract_y
_atom_site_fract_z
_atom_site_occupancy
Ag1 0.000 0.223 0.000 1
Pd1 0.193 0.000 0.519 1
F1 0.000 0.500 0.500 1
F2 0.147 0.000 0.197 1
F3 0.231 0.159 0.770 1
```